# 1
Starting from a DFT-relaxed cell (PBE, the Materials Project), the XRD peak list of UH2O4 was computed for Cu Kα X-rays.

Peak list (8 most intense, 15 to 90 degrees two-theta, by angle)
2theta  I_rel
17.5  47
23.8  100
29.7  14
34.6  44
37.6  13
48.6  18
49.2  22
50.4  15

```
data_UH2O4
_chemical_formula_sum 'U4 H8 O16'
_space_group_name_H-M_alt 'P 1'
_space_group_IT_number 1
_cell_length_a 5.422
_cell_length_b 6.022
_cell_length_c 10.144
_cell_angle_alpha 90.00
_cell_angle_beta 90.00
_cell_angle_gamma 90.00
loop_
_space_group_symop_operation_xyz
'x,y,z'
loop_
_atom_site_label
_atom_site_type_symbol
_atom_site_fract_x
_atom_site_fract_y
_atom_site_fract_z
U1 U 0.000 0.000 0.000
U2 U 0.000 0.500 0.500
U3 U 0.500 0.000 0.500
U4 U 0.500 0.500 0.000
H1 H 0.150 0.121 0.262
H2 H 0.150 0.379 0.762
H3 H 0.350 0.621 0.262
H4 H 0.350 0.879 0.762
H5 H 0.650 0.121 0.238
H6 H 0.650 0.379 0.738
H7 H 0.850 0.621 0.238
H8 H 0.850 0.879 0.738
O1 O 0.165 0.028 0.181
O2 O 0.165 0.472 0.681
O3 O 0.235 0.203 0.439
O4 O 0.235 0.297 0.939
O5 O 0.265 0.703 0.439
O6 O 0.265 0.797 0.939
O7 O 0.335 0.528 0.181
O8 O 0.335 0.972 0.681
O9 O 0.665 0.028 0.319
O10 O 0.665 0.472 0.819
O11 O 0.735 0.203 0.061
O12 O 0.735 0.297 0.561
O13 O 0.765 0.703 0.061
O14 O 0.765 0.797 0.561
O15 O 0.835 0.528 0.319
O16 O 0.835 0.972 0.819
```

# 2
Starting from a DFT-relaxed cell (PBE, the Materials Project), the XRD peak list of CrNiP was computed for Cu Kα X-rays.

Peak list (8 most intense, 15 to 90 degrees two-theta, by angle)
2theta  I_rel
40.2  100
44.3  61
48.1  43
51.4  26
55.0  36
73.0  22
78.6  12
89.7  22

```
data_CrNiP
_chemical_formula_sum 'Cr3 Ni3 P3'
_space_group_name_H-M_alt 'P 1'
_space_group_IT_number 1
_cell_length_a 5.782
_cell_length_b 5.782
_cell_length_c 3.553
_cell_angle_alpha 90.00
_cell_angle_beta 90.00
_cell_angle_gamma 120.00
loop_
_space_group_symop_operation_xyz
'x,y,z'
loop_
_atom_site_label
_atom_site_type_symbol
_atom_site_fract_x
_atom_site_fract_y
_atom_site_fract_z
Cr1 Cr 0.000 0.408 0.000
Cr2 Cr 0.408 0.000 0.000
Cr3 Cr 0.592 0.592 0.000
Ni1 Ni 0.000 0.744 0.500
Ni2 Ni 0.256 0.256 0.500
Ni3 Ni 0.744 0.000 0.500
P1 P 0.000 0.000 0.000
P2 P 0.333 0.667 0.500
P3 P 0.667 0.333 0.500
```

# 3
Starting from a DFT-relaxed cell (PBE, the Materials Project), the XRD peak list of U2Ga10CoNi was computed for Cu Kα X-rays.

Peak list (8 most intense, 15 to 90 degrees two-theta, by angle)
2theta  I_rel
20.9  35
32.6  58
33.7  22
39.7  18
40.0  100
42.6  53
59.6  22
76.2  30

```
data_U2Ga10CoNi
_chemical_formula_sum 'U2 Ga10 Co1 Ni1'
_space_group_name_H-M_alt 'P 1'
_space_group_IT_number 1
_cell_length_a 4.248
_cell_length_b 4.248
_cell_length_c 13.618
_cell_angle_alpha 90.00
_cell_angle_beta 90.00
_cell_angle_gamma 90.00
loop_
_space_group_symop_operation_xyz
'x,y,z'
loop_
_atom_site_label
_atom_site_type_symbol
_atom_site_fract_x
_atom_site_fract_y
_atom_site_fract_z
U1 U 0.000 0.000 0.249
U2 U 0.000 0.000 0.751
Ga1 Ga 0.000 0.500 0.096
Ga2 Ga 0.000 0.500 0.402
Ga3 Ga 0.000 0.500 0.598
Ga4 Ga 0.000 0.500 0.904
Ga5 Ga 0.500 0.000 0.096
Ga6 Ga 0.500 0.000 0.402
Ga7 Ga 0.500 0.000 0.598
Ga8 Ga 0.500 0.000 0.904
Ga9 Ga 0.500 0.500 0.250
Ga10 Ga 0.500 0.500 0.750
Co1 Co 0.000 0.000 0.000
Ni1 Ni 0.000 0.000 0.500
```

# 4
Starting from a DFT-relaxed cell (PBE, the Materials Project), the XRD peak list of BaTh was computed for Cu Kα X-rays.

Peak list (8 most intense, 15 to 90 degrees two-theta, by angle)
2theta  I_rel
27.3  26
27.4  29
30.6  100
39.0  20
48.2  19
50.5  25
56.3  27
58.2  17

```
data_BaTh
_chemical_formula_sum 'Ba1 Th1'
_space_group_name_H-M_alt 'P 1'
_space_group_IT_number 1
_cell_length_a 3.776
_cell_length_b 3.776
_cell_length_c 6.510
_cell_angle_alpha 90.00
_cell_angle_beta 90.00
_cell_angle_gamma 120.00
loop_
_space_group_symop_operation_xyz
'x,y,z'
loop_
_atom_site_label
_atom_site_type_symbol
_atom_site_fract_x
_atom_site_fract_y
_atom_site_fract_z
Ba1 Ba 0.000 0.000 0.000
Th1 Th 0.667 0.333 0.500
```

# 5
Starting from a DFT-relaxed cell (PBE, the Materials Project), the XRD peak list of Tm4Ir was computed for Cu Kα X-rays.

Peak list (8 most intense, 15 to 90 degrees two-theta, by angle)
2theta  I_rel
23.4  26
28.8  100
33.4  24
36.5  28
43.8  25
48.0  56
56.9  35
89.5  14

```
data_Tm4Ir
_chemical_formula_sum 'Tm8 Ir2'
_space_group_name_H-M_alt 'P 1'
_space_group_IT_number 1
_cell_length_a 7.588
_cell_length_b 7.588
_cell_length_c 7.588
_cell_angle_alpha 60.00
_cell_angle_beta 60.00
_cell_angle_gamma 60.00
loop_
_space_group_symop_operation_xyz
'x,y,z'
loop_
_atom_site_label
_atom_site_type_symbol
_atom_site_fract_x
_atom_site_fract_y
_atom_site_fract_z
Tm1 Tm 0.210 0.763 0.763
Tm2 Tm 0.237 0.237 0.237
Tm3 Tm 0.237 0.237 0.790
Tm4 Tm 0.237 0.790 0.237
Tm5 Tm 0.763 0.210 0.763
Tm6 Tm 0.763 0.763 0.210
Tm7 Tm 0.763 0.763 0.763
Tm8 Tm 0.790 0.237 0.237
Ir1 Ir 0.375 0.375 0.375
Ir2 Ir 0.625 0.625 0.625
```

# 6
Starting from a DFT-relaxed cell (PBE, the Materials Project), the XRD peak list of BaSnHgS4 was computed for Cu Kα X-rays.

Peak list (8 most intense, 15 to 90 degrees two-theta, by angle)
2theta  I_rel
15.9  45
22.2  100
22.7  64
27.6  82
32.1  55
35.1  90
42.9  49
46.3  41

```
data_BaSnHgS4
_chemical_formula_sum 'Ba4 Sn4 Hg4 S16'
_space_group_name_H-M_alt 'P 1'
_space_group_IT_number 1
_cell_length_a 11.029
_cell_length_b 11.135
_cell_length_c 6.735
_cell_angle_alpha 90.00
_cell_angle_beta 90.00
_cell_angle_gamma 90.00
loop_
_space_group_symop_operation_xyz
'x,y,z'
loop_
_atom_site_label
_atom_site_type_symbol
_atom_site_fract_x
_atom_site_fract_y
_atom_site_fract_z
Ba1 Ba 0.000 0.000 0.000
Ba2 Ba 0.000 0.500 0.007
Ba3 Ba 0.500 0.000 0.507
Ba4 Ba 0.500 0.500 0.500
Sn1 Sn 0.211 0.248 0.487
Sn2 Sn 0.289 0.748 0.987
Sn3 Sn 0.711 0.252 0.987
Sn4 Sn 0.789 0.752 0.487
Hg1 Hg 0.175 0.756 0.452
Hg2 Hg 0.325 0.256 0.952
Hg3 Hg 0.675 0.744 0.952
Hg4 Hg 0.825 0.244 0.452
S1 S 0.052 0.248 0.250
S2 S 0.099 0.748 0.796
S3 S 0.233 0.418 0.715
S4 S 0.234 0.082 0.719
S5 S 0.266 0.582 0.219
S6 S 0.267 0.918 0.215
S7 S 0.401 0.248 0.296
S8 S 0.448 0.748 0.750
S9 S 0.552 0.252 0.750
S10 S 0.599 0.752 0.296
S11 S 0.733 0.082 0.215
S12 S 0.734 0.418 0.219
S13 S 0.766 0.918 0.719
S14 S 0.767 0.582 0.715
S15 S 0.901 0.252 0.796
S16 S 0.948 0.752 0.250
```

# 7
Starting from a DFT-relaxed cell (PBE, the Materials Project), the XRD peak list of MgAlPO5 was computed for Cu Kα X-rays.

Peak list (8 most intense, 15 to 90 degrees two-theta, by angle)
2theta  I_rel
18.4  100
20.8  47
26.5  26
27.9  33
28.5  34
29.2  69
34.0  28
36.5  26

```
data_MgAlPO5
_chemical_formula_sum 'Mg4 Al4 P4 O20'
_space_group_name_H-M_alt 'P 1'
_space_group_IT_number 1
_cell_length_a 7.189
_cell_length_b 10.472
_cell_length_c 5.511
_cell_angle_alpha 90.00
_cell_angle_beta 98.53
_cell_angle_gamma 90.00
loop_
_space_group_symop_operation_xyz
'x,y,z'
loop_
_atom_site_label
_atom_site_type_symbol
_atom_site_fract_x
_atom_site_fract_y
_atom_site_fract_z
Mg1 Mg 0.014 0.142 0.119
Mg2 Mg 0.014 0.358 0.619
Mg3 Mg 0.986 0.642 0.381
Mg4 Mg 0.986 0.858 0.881
Al1 Al 0.359 0.175 0.556
Al2 Al 0.359 0.325 0.056
Al3 Al 0.641 0.675 0.944
Al4 Al 0.641 0.825 0.444
P1 P 0.220 0.597 0.931
P2 P 0.220 0.903 0.431
P3 P 0.780 0.097 0.569
P4 P 0.780 0.403 0.069
O1 O 0.088 0.684 0.057
O2 O 0.088 0.816 0.557
O3 O 0.112 0.546 0.685
O4 O 0.112 0.954 0.185
O5 O 0.268 0.220 0.255
O6 O 0.268 0.280 0.755
O7 O 0.283 0.016 0.604
O8 O 0.283 0.484 0.104
O9 O 0.393 0.675 0.882
O10 O 0.393 0.825 0.382
O11 O 0.607 0.175 0.618
O12 O 0.607 0.325 0.118
O13 O 0.717 0.516 0.896
O14 O 0.717 0.984 0.396
O15 O 0.732 0.720 0.245
O16 O 0.732 0.780 0.745
O17 O 0.888 0.046 0.815
O18 O 0.888 0.454 0.315
O19 O 0.912 0.184 0.443
O20 O 0.912 0.316 0.943
```

# 8
Starting from a DFT-relaxed cell (PBE, the Materials Project), the XRD peak list of SrGe2Au2 was computed for Cu Kα X-rays.

Peak list (8 most intense, 15 to 90 degrees two-theta, by angle)
2theta  I_rel
16.9  43
32.3  100
39.1  50
42.9  18
44.3  37
56.5  17
66.6  25
74.5  16

```
data_SrGe2Au2
_chemical_formula_sum 'Sr1 Ge2 Au2'
_space_group_name_H-M_alt 'P 1'
_space_group_IT_number 1
_cell_length_a 6.181
_cell_length_b 6.181
_cell_length_c 6.181
_cell_angle_alpha 136.22
_cell_angle_beta 136.22
_cell_angle_gamma 63.64
loop_
_space_group_symop_operation_xyz
'x,y,z'
loop_
_atom_site_label
_atom_site_type_symbol
_atom_site_fract_x
_atom_site_fract_y
_atom_site_fract_z
Sr1 Sr 0.000 0.000 0.000
Ge1 Ge 0.378 0.378 0.000
Ge2 Ge 0.622 0.622 0.000
Au1 Au 0.250 0.750 0.500
Au2 Au 0.750 0.250 0.500
```

What did the fourth record say?
Starting from a DFT-relaxed cell (PBE, the Materials Project), the XRD peak list of BaTh was computed for Cu Kα X-rays.

Peak list (8 most intense, 15 to 90 degrees two-theta, by angle)
2theta  I_rel
27.3  26
27.4  29
30.6  100
39.0  20
48.2  19
50.5  25
56.3  27
58.2  17

```
data_BaTh
_chemical_formula_sum 'Ba1 Th1'
_space_group_name_H-M_alt 'P 1'
_space_group_IT_number 1
_cell_length_a 3.776
_cell_length_b 3.776
_cell_length_c 6.510
_cell_angle_alpha 90.00
_cell_angle_beta 90.00
_cell_angle_gamma 120.00
loop_
_space_group_symop_operation_xyz
'x,y,z'
loop_
_atom_site_label
_atom_site_type_symbol
_atom_site_fract_x
_atom_site_fract_y
_atom_site_fract_z
Ba1 Ba 0.000 0.000 0.000
Th1 Th 0.667 0.333 0.500
```